Structure and theoretical powder diffractogram of AcErC3N6 (the PBE geometry in Alexandria; Cu Kα, 1.54184 Å).
Neutral-atom scattering factors, no anomalous dispersion.

Largest 10 diffraction maxima, most intense first, 2θ = 10–80°:
2θ (°), Rel. int., h k l
31.9, 100, 1 1 3
19.2, 68, 0 1 2
16.2, 64, 1 0 1
26.3, 62, 1 1 0
17.6, 46, 0 0 3
44.9, 32, 2 -1 6
33.4, 26, 0 1 5
50.1, 26, 3 0 3
42.5, 21, 1 2 2
46.5, 19, 3 0 0

Structural model:
```
data_AcErC3N6
_symmetry_space_group_name_H-M 'R 3'
_symmetry_Int_Tables_number 146
_symmetry_space_group_name_Hall 'R 3'
_cell_length_a 6.7661
_cell_length_b 6.7661
_cell_length_c 15.0767
_cell_angle_alpha 90.00
_cell_angle_beta 90.00
_cell_angle_gamma 120.00
loop_
_atom_site_label
_atom_site_type_symbol
_atom_site_fract_x
_atom_site_fract_y
_atom_site_fract_z
_atom_site_occupancy
Ac1 Ac 0.0000 0.0000 0.0000 1
Er1 Er 0.0000 0.0000 0.3605 1
C1 C 0.0298 0.4283 0.8548 1
N1 N 0.0714 0.3803 0.9289 1
N2 N 0.1528 0.3405 0.1139 1
```



Structure and theoretical powder diffractogram of Pr5Sm2 (the PBE geometry in Alexandria; Cu Kα, 1.54184 Å).
Neutral-atom scattering factors, no anomalous dispersion.

Largest 9 diffraction maxima, most intense first, 2θ = 10–80°:
2θ (°), Rel. int., h k l
29.6, 100, 1 1 2
49.4, 36, 4 2 1
34.3, 34, 4 0 1
58.6, 29, 7 1 0
34.4, 17, 2 0 -3
58.7, 14, 5 1 -4
61.5, 13, 2 2 4
72.3, 4, 8 0 2
72.6, 2, 4 0 -6

Structural model:
```
data_Pr5Sm2
_symmetry_space_group_name_H-M 'C 1 2/m 1'
_symmetry_Int_Tables_number 12
_cell_length_a 11.677
_cell_length_b 5.228
_cell_length_c 8.241
_cell_angle_alpha 90.00
_cell_angle_beta 98.02
_cell_angle_gamma 90.00
loop_
_symmetry_equiv_pos_as_xyz
'x,y,z'
'-x,-y,-z'
'-x,y,-z'
'x,-y,z'
'x+1/2,y+1/2,z'
'-x+1/2,-y+1/2,-z'
'-x+1/2,y+1/2,-z'
'x+1/2,-y+1/2,z'
loop_
_atom_site_label
_atom_site_type_symbol
_atom_site_fract_x
_atom_site_fract_y
_atom_site_fract_z
_atom_site_occupancy
Pr1 Pr 0.000 0.000 0.000 1
Pr2 Pr 0.071 0.500 0.717 1
Pr3 Pr 0.143 0.000 0.429 1
Sm1 Sm 0.215 0.500 0.142 1
```



Structure and theoretical powder diffractogram of Tb6TlOs (the PBE geometry in Alexandria; Cu Kα, 1.54184 Å).
Neutral-atom scattering factors, no anomalous dispersion.

Largest 10 diffraction maxima, most intense first, 2θ = 10–80°:
2θ (°), Rel. int., h k l
32.3, 100, 1 1 4
35.4, 46, 2 0 0
61.6, 32, 3 1 4
51.0, 17, 2 2 0
10.1, 15, 0 0 2
55.5, 13, 2 0 8
39.8, 12, 1 1 6
41.3, 9, 0 0 8
67.6, 7, 2 2 8
75.0, 5, 4 0 0

Structural model:
```
data_Tb6TlOs
_symmetry_space_group_name_H-M 'I 4/m m m'
_symmetry_Int_Tables_number 139
_symmetry_space_group_name_Hall '-I 4 2'
_cell_length_a 5.067
_cell_length_b 5.067
_cell_length_c 17.503
_cell_angle_alpha 90.00
_cell_angle_beta 90.00
_cell_angle_gamma 90.00
loop_
_atom_site_label
_atom_site_type_symbol
_atom_site_fract_x
_atom_site_fract_y
_atom_site_fract_z
_atom_site_occupancy
Tb1 Tb 0.000 0.000 0.249 1
Tb2 Tb 0.000 0.500 0.102 1
Tl1 Tl 0.000 0.000 0.000 1
Os1 Os 0.000 0.000 0.500 1
```



Structure and theoretical powder diffractogram of Li6Mg2Au (the PBE geometry in Alexandria; Cu Kα, 1.54184 Å).
Neutral-atom scattering factors, no anomalous dispersion.

Largest 10 diffraction maxima, most intense first, 2θ = 10–80°:
2θ (°), Rel. int., h k l
14.9, 100, 1 1 0
34.2, 41, 1 3 1
26.8, 37, 1 1 1
14.7, 31, 0 2 0
37.7, 30, 2 2 1
26.7, 29, 0 2 1
26.0, 16, 2 0 0
25.7, 16, 1 3 0
47.9, 14, 1 1 2
46.1, 13, 2 4 1

Structural model:
```
data_Li6Mg2Au
_symmetry_space_group_name_H-M 'C m m m'
_symmetry_Int_Tables_number 65
_symmetry_space_group_name_Hall '-C 2 2'
_cell_length_a 6.844
_cell_length_b 12.067
_cell_length_c 4.004
_cell_angle_alpha 90.00
_cell_angle_beta 90.00
_cell_angle_gamma 90.00
loop_
_atom_site_label
_atom_site_type_symbol
_atom_site_fract_x
_atom_site_fract_y
_atom_site_fract_z
_atom_site_occupancy
Li1 Li 0.193 0.143 0.000 1
Li2 Li 0.214 0.000 0.500 1
Mg1 Mg 0.000 0.309 0.500 1
Au1 Au 0.000 0.500 0.000 1
```



Please write out number 4 again, unchanged.
Structure and theoretical powder diffractogram of Li6Mg2Au (the PBE geometry in Alexandria; Cu Kα, 1.54184 Å).
Neutral-atom scattering factors, no anomalous dispersion.

Largest 10 diffraction maxima, most intense first, 2θ = 10–80°:
2θ (°), Rel. int., h k l
14.9, 100, 1 1 0
34.2, 41, 1 3 1
26.8, 37, 1 1 1
14.7, 31, 0 2 0
37.7, 30, 2 2 1
26.7, 29, 0 2 1
26.0, 16, 2 0 0
25.7, 16, 1 3 0
47.9, 14, 1 1 2
46.1, 13, 2 4 1

Structural model:
```
data_Li6Mg2Au
_symmetry_space_group_name_H-M 'C m m m'
_symmetry_Int_Tables_number 65
_symmetry_space_group_name_Hall '-C 2 2'
_cell_length_a 6.844
_cell_length_b 12.067
_cell_length_c 4.004
_cell_angle_alpha 90.00
_cell_angle_beta 90.00
_cell_angle_gamma 90.00
loop_
_atom_site_label
_atom_site_type_symbol
_atom_site_fract_x
_atom_site_fract_y
_atom_site_fract_z
_atom_site_occupancy
Li1 Li 0.193 0.143 0.000 1
Li2 Li 0.214 0.000 0.500 1
Mg1 Mg 0.000 0.309 0.500 1
Au1 Au 0.000 0.500 0.000 1
```